# MgCo5P8O28
Theoretical X-ray diffraction stick pattern, λ = 1.5418 Å (Cu Kα). Input: the PBE+U geometry in the Materials Project.
Lines closer than 0.1° are merged.

Peak list (6 most intense, 10 to 90 degrees two-theta, in order of rising 2θ)
- 2θ = 16.7°, I 53, hkl 1 1 1
- 2θ = 16.9°, I 65, hkl 1 -1 0
- 2θ = 17.6°, I 82, hkl -1 1 1
- 2θ = 26.6°, I 100, hkl 2 -1 0
- 2θ = 27.4°, I 65, hkl 0 0 3
- 2θ = 34.9°, I 36, hkl 2 1 -2

Unit cell a=7.592 b=7.804 c=10.315 alpha=71.67 beta=86.59 gamma=87.82
Space group P1 (No. 1)
Symmetry-distinct sites (fractional):
Mg (0.000, 0.000, 0.000)
Co (0.248, 0.564, 0.523)
Co (0.306, 0.517, 0.057)
Co (0.517, 0.907, 0.447)
Co (0.718, 0.299, 0.830)
Co (0.778, 0.253, 0.382)
P (0.140, 0.205, 0.752)
P (0.173, 0.200, 0.468)
P (0.328, 0.842, 0.196)
P (0.469, 0.658, 0.757)
P (0.578, 0.154, 0.135)
P (0.690, 0.984, 0.702)
P (0.861, 0.611, 0.437)
P (0.909, 0.592, 0.159)
O (0.012, 0.626, 0.531)
O (0.013, 0.188, 0.383)
O (0.070, 0.492, 0.114)
O (0.080, 0.163, 0.618)
O (0.162, 0.952, 0.153)
O (0.211, 0.039, 0.856)
O (0.252, 0.390, 0.423)
O (0.261, 0.368, 0.699)
O (0.306, 0.055, 0.467)
O (0.319, 0.598, 0.865)
O (0.350, 0.768, 0.352)
O (0.367, 0.692, 0.130)
O (0.411, 0.687, 0.611)
O (0.438, 0.303, 0.089)
O (0.497, 0.969, 0.136)
O (0.524, 0.850, 0.760)
O (0.626, 0.143, 0.758)
O (0.633, 0.123, 0.282)
O (0.633, 0.531, 0.790)
O (0.670, 0.053, 0.545)
O (0.729, 0.761, 0.423)
O (0.738, 0.178, 0.030)
O (0.758, 0.458, 0.207)
O (0.780, 0.421, 0.487)
O (0.857, 0.895, 0.757)
O (0.868, 0.773, 0.057)
O (0.965, 0.248, 0.827)
O (0.970, 0.631, 0.295)


# SrLa3MnO12
Theoretical X-ray diffraction stick pattern, λ = 1.5418 Å (Cu Kα). Input: the PBE+U geometry in the Materials Project.
Lines closer than 0.1° are merged.

Peak list (6 most intense, 10 to 90 degrees two-theta, in order of rising 2θ)
- 2θ = 23.4°, I 71, hkl 1 0 4
- 2θ = 33.4°, I 100, hkl 1 1 0
- 2θ = 41.2°, I 62, hkl 0 2 4
- 2θ = 47.9°, I 40, hkl 2 0 8
- 2θ = 54.0°, I 32, hkl 3 -1 4
- 2θ = 59.6°, I 39, hkl 3 0 0

Unit cell a=5.3696 b=5.3696 c=26.3204 alpha=90.00 beta=90.00 gamma=120.00
Space group R3 (No. 146, hexagonal axes)
Symmetry-distinct sites (fractional):
Sr (0.0000, 0.0000, 0.0000)
La (0.0000, 0.0000, 0.2507)
La (0.0000, 0.0000, 0.5045)
La (0.0000, 0.0000, 0.7559)
Mn (0.0000, 0.0000, 0.3748)
O (0.0020, 0.4958, 0.0038)
O (0.0086, 0.4896, 0.5063)
O (0.1459, 0.7980, 0.0886)
O (0.1579, 0.8208, 0.5829)


# KMgNi2H3Se2O10
Theoretical X-ray diffraction stick pattern, λ = 1.5418 Å (Cu Kα). Input: the PBE+U geometry in the Materials Project.
Lines closer than 0.1° are merged.

Peak list (6 most intense, 10 to 90 degrees two-theta, in order of rising 2θ)
- 2θ = 12.1°, I 100, hkl 0 0 1
- 2θ = 16.6°, I 66, hkl 0 1 0
- 2θ = 16.8°, I 64, hkl 1 0 0
- 2θ = 28.1°, I 81, hkl 1 1 -1
- 2θ = 32.5°, I 56, hkl 0 2 1
- 2θ = 32.9°, I 61, hkl 2 0 1

Unit cell a=5.853 b=5.914 c=8.117 alpha=68.88 beta=69.03 gamma=69.40
Space group P1 (No. 1)
Symmetry-distinct sites (fractional):
K (0.000, 0.000, 0.000)
Mg (0.514, 0.471, 0.999)
Ni (0.361, 0.102, 0.486)
Ni (0.896, 0.604, 0.502)
H (0.041, 0.300, 0.290)
H (0.702, 0.934, 0.709)
H (0.839, 0.096, 0.513)
Se (0.329, 0.516, 0.719)
Se (0.481, 0.655, 0.274)
O (0.009, 0.275, 0.421)
O (0.158, 0.364, 0.660)
O (0.161, 0.785, 0.308)
O (0.196, 0.833, 0.693)
O (0.223, 0.413, 0.956)
O (0.530, 0.326, 0.254)
O (0.573, 0.763, 0.037)
O (0.615, 0.834, 0.339)
O (0.659, 0.465, 0.741)
O (0.717, 0.975, 0.578)


# BaSrDyWO6
Theoretical X-ray diffraction stick pattern, λ = 1.5418 Å (Cu Kα). Input: the PBE+U geometry in the Materials Project.
Lines closer than 0.1° are merged.

Peak list (6 most intense, 10 to 90 degrees two-theta, in order of rising 2θ)
- 2θ = 29.9°, I 100, hkl 2 2 0
- 2θ = 42.7°, I 29, hkl 4 0 0
- 2θ = 53.0°, I 41, hkl 4 2 2
- 2θ = 62.0°, I 18, hkl 4 4 0
- 2θ = 70.3°, I 18, hkl 6 2 0
- 2θ = 85.9°, I 22, hkl 6 4 2

Unit cell a=8.466 b=8.466 c=8.466 alpha=90.00 beta=90.00 gamma=90.00
Space group F-43m (No. 216)
Symmetry-distinct sites (fractional):
Ba (0.000, 0.000, 0.000)
Sr (0.000, 0.000, 0.500)
Dy (0.250, 0.250, 0.750)
W (0.250, 0.250, 0.250)
O (0.014, 0.250, 0.250)


Question: Number 2 is which compound?
Answer: SrLa3MnO12